(1)
Starting from a cell relaxed with PBE, the powder X-ray diffraction pattern of K2Ag3F8 was computed for Cu Kα (λ = 1.5418 Å).

Crystal structure
Unit cell a=4.311 b=4.311 c=11.931 alpha=90.00 beta=90.00 gamma=90.00
Space group P4/mmm (No. 123)
Symmetry-distinct sites (fractional):
K 0.000 0.000 0.201 x2
Ag 0.500 0.500 0.000 x1
Ag 0.500 0.500 0.375 x2
F 0.000 0.500 0.000 x2
F 0.000 0.500 0.360 x4
F 0.500 0.500 0.177 x2

Principal peaks in the range 2θ from 10° to 90°, sorted by position:
d = 4.311 Å, 2θ = 20.60°, I 100, (1 0 0)
d = 3.977 Å, 2θ = 22.35°, I 37, (0 0 3)
d = 3.494 Å, 2θ = 25.49°, I 33, (1 0 2)
d = 3.048 Å, 2θ = 29.30°, I 55, (1 1 0)
d = 2.923 Å, 2θ = 30.58°, I 76, (1 0 3)
d = 2.155 Å, 2θ = 41.92°, I 58, (2 0 0)

(2)
Starting from a cell relaxed with PBE, the powder X-ray diffraction pattern of Na5B6C4 was computed for Cu Kα (λ = 1.5418 Å).

Crystal structure
Unit cell a=2.833 b=25.007 c=8.477 alpha=90.00 beta=90.00 gamma=90.00
Space group Cmcm (No. 63)
Symmetry-distinct sites (fractional):
Na 0.000 0.000 0.000 x4
Na 0.000 0.200 0.002 x8
Na 0.000 0.401 0.000 x8
B 0.000 0.064 0.250 x4
B 0.000 0.131 0.750 x4
B 0.000 0.267 0.750 x4
B 0.000 0.273 0.250 x4
B 0.000 0.339 0.750 x4
B 0.000 0.467 0.250 x4
C 0.000 0.065 0.750 x4
C 0.000 0.129 0.250 x4
C 0.000 0.337 0.250 x4
C 0.000 0.468 0.750 x4

Principal peaks in the range 2θ from 10° to 90°, sorted by position:
d = 2.465 Å, 2θ = 36.45°, I 18, (1 5 0)
d = 2.154 Å, 2θ = 41.95°, I 51, (0 10 2)
d = 2.131 Å, 2θ = 42.42°, I 100, (1 5 2)
d = 2.119 Å, 2θ = 42.67°, I 39, (0 0 4)
d = 1.437 Å, 2θ = 64.90°, I 17, (1 15 0)
d = 1.189 Å, 2θ = 80.82°, I 17, (1 15 4)

(3)
Starting from a cell relaxed with PBE, the powder X-ray diffraction pattern of Ta2TiTe5 was computed for Cu Kα (λ = 1.5418 Å).

Crystal structure
Unit cell a=4.935 b=14.047 c=14.582 alpha=90.00 beta=90.00 gamma=90.00
Space group Fmmm (No. 69)
Symmetry-distinct sites (fractional):
Ta 0.000 0.000 0.192 x8
Ti 0.000 0.000 0.500 x4
Te 0.000 0.000 0.000 x4
Te 0.000 0.127 0.341 x16

Principal peaks in the range 2θ from 10° to 90°, sorted by position:
d = 7.291 Å, 2θ = 12.14°, I 35, (0 0 2)
d = 7.024 Å, 2θ = 12.60°, I 100, (0 2 0)
d = 3.308 Å, 2θ = 26.95°, I 41, (1 3 1)
d = 2.784 Å, 2θ = 32.15°, I 59, (1 3 3)
d = 2.468 Å, 2θ = 36.40°, I 43, (2 0 0)
d = 2.182 Å, 2θ = 41.39°, I 26, (1 5 3)